No. 1
Starting from a DFT-relaxed cell (PBE, the Materials Project), the powder X-ray diffraction pattern of CaF3 was computed for copper Kα.

The 10 most intense peaks (10 to 90 degrees two-theta), by angle:
(1 0 0), 20.75°, 4.280 Å, I 16
(1 0 1), 28.76°, 3.104 Å, I 17
(1 1 0), 36.36°, 2.471 Å, I 8
(0 0 2), 40.01°, 2.254 Å, I 39
(2 0 0), 42.23°, 2.140 Å, I 24
(2 0 1), 47.00°, 1.933 Å, I 100
(2 0 2), 59.57°, 1.552 Å, I 14
(2 1 1), 60.84°, 1.523 Å, I 8
(2 2 0), 77.21°, 1.236 Å, I 11
(2 0 3), 77.65°, 1.230 Å, I 16

Atomic structure:
```
data_CaF3
_chemical_formula_sum 'Ca2 F6'
_cell_length_a 4.9422
_cell_length_b 4.9422
_cell_length_c 4.5073
_cell_angle_alpha 90.00
_cell_angle_beta 90.00
_cell_angle_gamma 120.00
_symmetry_space_group_name_H-M 'P 63/m m c'
_symmetry_Int_Tables_number 194
_symmetry_space_group_name_Hall '-P 6c 2c'
loop_
_atom_site_label
_atom_site_fract_x
_atom_site_fract_y
_atom_site_fract_z
Ca1 0.3333 0.6667 0.2500
F1 0.1763 0.3527 0.7500
```

=====

No. 2
Starting from a DFT-relaxed cell (PBE, the Materials Project), the powder X-ray diffraction pattern of Nb4CuSi was computed for copper Kα.

The 10 most intense peaks (10 to 90 degrees two-theta), by angle:
(0 0 2), 35.34°, 2.540 Å, I 13
(2 1 1), 36.79°, 2.443 Å, I 100
(1 1 2), 41.01°, 2.201 Å, I 25
(3 1 0), 46.08°, 1.970 Å, I 47
(4 0 0), 59.35°, 1.557 Å, I 5
(3 3 0), 63.32°, 1.469 Å, I 4
(2 1 3), 64.36°, 1.448 Å, I 31
(4 0 2), 70.98°, 1.328 Å, I 10
(3 3 2), 74.65°, 1.271 Å, I 15
(5 2 1), 86.23°, 1.128 Å, I 16

Atomic structure:
```
data_Nb4CuSi
_chemical_formula_sum 'Nb8 Cu2 Si2'
_cell_length_a 6.231
_cell_length_b 6.231
_cell_length_c 5.079
_cell_angle_alpha 90.00
_cell_angle_beta 90.00
_cell_angle_gamma 90.00
_symmetry_space_group_name_H-M 'P 4/m c c'
_symmetry_Int_Tables_number 124
_symmetry_space_group_name_Hall '-P 4 2c'
loop_
_atom_site_label
_atom_site_fract_x
_atom_site_fract_y
_atom_site_fract_z
Nb1 0.156 0.340 0.000
Cu1 0.500 0.500 0.250
Si1 0.000 0.000 0.250
```

=====

No. 3
Starting from a DFT-relaxed cell (PBE, the Materials Project), the powder X-ray diffraction pattern of LaSi2Os2 was computed for copper Kα.

The 10 most intense peaks (10 to 90 degrees two-theta), by angle:
(0 0 2), 17.74°, 5.000 Å, I 31
(1 0 3), 34.20°, 2.622 Å, I 14
(1 1 2), 34.86°, 2.573 Å, I 100
(0 0 4), 35.92°, 2.500 Å, I 19
(2 0 0), 42.60°, 2.122 Å, I 37
(1 1 4), 47.32°, 1.921 Å, I 14
(2 0 4), 56.91°, 1.618 Å, I 21
(2 2 0), 61.82°, 1.501 Å, I 12
(1 1 6), 63.89°, 1.457 Å, I 20
(3 1 2), 72.98°, 1.296 Å, I 24

Atomic structure:
```
data_LaSi2Os2
_chemical_formula_sum 'La2 Si4 Os4'
_cell_length_a 4.245
_cell_length_b 4.245
_cell_length_c 10.000
_cell_angle_alpha 90.00
_cell_angle_beta 90.00
_cell_angle_gamma 90.00
_symmetry_space_group_name_H-M 'I 4/m m m'
_symmetry_Int_Tables_number 139
_symmetry_space_group_name_Hall '-I 4 2'
loop_
_atom_site_label
_atom_site_fract_x
_atom_site_fract_y
_atom_site_fract_z
La1 0.000 0.000 0.000
Si1 0.000 0.000 0.364
Os1 0.000 0.500 0.250
```

=====

No. 4
Starting from a DFT-relaxed cell (PBE, the Materials Project), the powder X-ray diffraction pattern of MgCuO2 was computed for copper Kα.

The 10 most intense peaks (10 to 90 degrees two-theta), by angle:
(0 0 1), 11.59°, 7.638 Å, I 100
(0 1 -2), 22.47°, 3.957 Å, I 32
(0 1 2), 29.61°, 3.017 Å, I 23
(1 0 -2), 33.07°, 2.709 Å, I 27
(0 1 -3), 33.29°, 2.691 Å, I 31
(1 1 0), 33.84°, 2.649 Å, I 65
(1 -2 1), 35.37°, 2.538 Å, I 45
(-1 1 2), 35.81°, 2.507 Å, I 31
(0 3 0), 36.47°, 2.464 Å, I 31
(0 2 2), 39.04°, 2.307 Å, I 18

Atomic structure:
```
data_MgCuO2
_chemical_formula_sum 'Mg4 Cu4 O8'
_cell_length_a 3.190
_cell_length_b 7.902
_cell_length_c 8.192
_cell_angle_alpha 106.95
_cell_angle_beta 99.68
_cell_angle_gamma 98.56
_symmetry_space_group_name_H-M 'P 1'
_symmetry_Int_Tables_number 1
loop_
_symmetry_equiv_pos_as_xyz
'x,y,z'
loop_
_atom_site_label
_atom_site_fract_x
_atom_site_fract_y
_atom_site_fract_z
Mg1 0.000 0.000 0.000
Mg2 0.110 0.256 0.400
Mg3 0.489 0.915 0.348
Mg4 0.666 0.386 0.076
Cu1 0.199 0.974 0.689
Cu2 0.408 0.643 0.875
Cu3 0.578 0.594 0.454
Cu4 0.887 0.307 0.729
O1 0.167 0.191 0.890
O2 0.182 0.769 0.481
O3 0.231 0.390 0.229
O4 0.403 0.879 0.868
O5 0.715 0.392 0.535
O6 0.862 0.517 0.914
O7 0.930 0.099 0.554
O8 0.979 0.992 0.232
```

=====

No. 5
Starting from a DFT-relaxed cell (PBE, the Materials Project), the powder X-ray diffraction pattern of BaInGe was computed for copper Kα.

The 10 most intense peaks (10 to 90 degrees two-theta), by angle:
(1 0 1), 28.01°, 3.185 Å, I 100
(0 0 2), 35.23°, 2.547 Å, I 16
(1 1 0), 38.19°, 2.356 Å, I 43
(0 2 1), 48.03°, 1.894 Å, I 22
(1 1 2), 52.94°, 1.730 Å, I 28
(1 0 3), 58.91°, 1.568 Å, I 12
(2 1 1), 62.96°, 1.476 Å, I 20
(3 0 2), 79.95°, 1.200 Å, I 8
(2 1 3), 84.94°, 1.142 Å, I 9
(1 3 1), 88.48°, 1.105 Å, I 8

Atomic structure:
```
data_BaInGe
_chemical_formula_sum 'Ba1 In1 Ge1'
_cell_length_a 4.7126
_cell_length_b 4.7126
_cell_length_c 5.0944
_cell_angle_alpha 90.00
_cell_angle_beta 90.00
_cell_angle_gamma 120.00
_symmetry_space_group_name_H-M 'P 3 m 1'
_symmetry_Int_Tables_number 156
loop_
_symmetry_equiv_pos_as_xyz
'x,y,z'
'-y,x-y,z'
'-x+y,-x,z'
'-y,-x,z'
'-x+y,y,z'
'x,x-y,z'
loop_
_atom_site_label
_atom_site_fract_x
_atom_site_fract_y
_atom_site_fract_z
Ba1 0.0000 0.0000 0.0000
In1 0.3333 0.6667 0.5288
Ge1 0.6667 0.3333 0.4510
```

=====

No. 6
Starting from a DFT-relaxed cell (PBE, the Materials Project), the powder X-ray diffraction pattern of CeAgPb was computed for copper Kα.

The 10 most intense peaks (10 to 90 degrees two-theta), by angle:
(0 0 1), 10.09°, 8.766 Å, I 14
(1 0 1), 21.10°, 4.210 Å, I 19
(1 0 2), 27.56°, 3.236 Å, I 100
(1 1 0), 32.31°, 2.771 Å, I 91
(1 0 3), 35.98°, 2.496 Å, I 28
(0 2 2), 42.97°, 2.105 Å, I 30
(1 1 4), 53.30°, 1.719 Å, I 16
(2 1 2), 54.77°, 1.676 Å, I 30
(1 0 5), 55.83°, 1.647 Å, I 14
(3 0 0), 57.62°, 1.600 Å, I 17

Atomic structure:
```
data_CeAgPb
_chemical_formula_sum 'Ce2 Ag2 Pb2'
_cell_length_a 5.5416
_cell_length_b 5.5416
_cell_length_c 8.7659
_cell_angle_alpha 90.00
_cell_angle_beta 90.00
_cell_angle_gamma 120.00
_symmetry_space_group_name_H-M 'P -3 m 1'
_symmetry_Int_Tables_number 164
_symmetry_space_group_name_Hall '-P 3 2"'
loop_
_atom_site_label
_atom_site_fract_x
_atom_site_fract_y
_atom_site_fract_z
Ce1 0.0000 0.0000 0.2490
Ag1 0.3333 0.6667 0.9553
Pb1 0.3333 0.6667 0.5453
```

=====

No. 7
Starting from a DFT-relaxed cell (PBE, the Materials Project), the powder X-ray diffraction pattern of Er2CrS4 was computed for copper Kα.

The 10 most intense peaks (10 to 90 degrees two-theta), by angle:
(2 0 3), 25.69°, 3.468 Å, I 100
(1 2 1), 25.99°, 3.429 Å, I 34
(4 0 0), 28.63°, 3.118 Å, I 26
(1 2 2), 28.82°, 3.098 Å, I 34
(3 2 1), 33.09°, 2.707 Å, I 63
(3 2 2), 35.41°, 2.535 Å, I 55
(1 2 5), 44.20°, 2.049 Å, I 35
(5 2 2), 46.15°, 1.967 Å, I 23
(0 4 0), 48.98°, 1.860 Å, I 64
(2 4 3), 56.11°, 1.639 Å, I 22

Atomic structure:
```
data_Er2CrS4
_chemical_formula_sum 'Er16 Cr8 S32'
_cell_length_a 12.473
_cell_length_b 7.440
_cell_length_c 12.519
_cell_angle_alpha 90.00
_cell_angle_beta 90.00
_cell_angle_gamma 90.00
_symmetry_space_group_name_H-M 'P c a 21'
_symmetry_Int_Tables_number 29
loop_
_symmetry_equiv_pos_as_xyz
'x,y,z'
'-x,-y,z+1/2'
'-x+1/2,y,z+1/2'
'x+1/2,-y,z'
loop_
_atom_site_label
_atom_site_fract_x
_atom_site_fract_y
_atom_site_fract_z
Er1 0.107 0.114 0.000
Er2 0.128 0.615 0.639
Er3 0.134 0.369 0.306
Er4 0.134 0.869 0.305
Cr1 0.111 0.616 0.007
Cr2 0.127 0.120 0.637
S1 0.009 0.117 0.193
S2 0.025 0.626 0.181
S3 0.029 0.616 0.444
S4 0.049 0.124 0.454
S5 0.209 0.118 0.812
S6 0.211 0.618 0.837
S7 0.229 0.861 0.087
S8 0.235 0.358 0.091
```

=====

No. 8
Starting from a DFT-relaxed cell (PBE, the Materials Project), the powder X-ray diffraction pattern of Y2Ni3N4 was computed for copper Kα.

The 10 most intense peaks (10 to 90 degrees two-theta), by angle:
(0 2 1), 26.07°, 3.418 Å, I 100
(1 1 2), 31.37°, 2.851 Å, I 24
(2 2 -1), 32.12°, 2.787 Å, I 44
(2 2 1), 36.10°, 2.488 Å, I 50
(1 1 -3), 37.74°, 2.383 Å, I 79
(3 1 1), 39.71°, 2.270 Å, I 21
(4 0 -2), 45.13°, 2.009 Å, I 28
(0 4 0), 46.99°, 1.934 Å, I 39
(1 1 -4), 49.85°, 1.829 Å, I 21
(1 3 -3), 50.80°, 1.797 Å, I 34

Atomic structure:
```
data_Y2Ni3N4
_chemical_formula_sum 'Y8 Ni12 N16'
_cell_length_a 8.452
_cell_length_b 7.736
_cell_length_c 7.533
_cell_angle_alpha 90.00
_cell_angle_beta 104.19
_cell_angle_gamma 90.00
_symmetry_space_group_name_H-M 'C 1 2/c 1'
_symmetry_Int_Tables_number 15
loop_
_symmetry_equiv_pos_as_xyz
'x,y,z'
'-x,-y,-z'
'-x,y,-z+1/2'
'x,-y,z+1/2'
'x+1/2,y+1/2,z'
'-x+1/2,-y+1/2,-z'
'-x+1/2,y+1/2,-z+1/2'
'x+1/2,-y+1/2,z+1/2'
loop_
_atom_site_label
_atom_site_fract_x
_atom_site_fract_y
_atom_site_fract_z
Y1 0.148 0.121 0.131
Ni1 0.000 0.409 0.750
Ni2 0.122 0.373 0.494
N1 0.105 0.381 0.992
N2 0.137 0.127 0.448
```

=====

No. 9
Starting from a DFT-relaxed cell (PBE, the Materials Project), the powder X-ray diffraction pattern of ZrSiO2 was computed for copper Kα.

The 10 most intense peaks (10 to 90 degrees two-theta), by angle:
(1 0 1), 16.18°, 5.479 Å, I 94
(0 0 4), 32.26°, 2.775 Å, I 51
(2 0 2), 32.69°, 2.740 Å, I 100
(2 1 1), 32.79°, 2.731 Å, I 29
(2 2 0), 40.49°, 2.228 Å, I 72
(2 2 4), 52.69°, 1.737 Å, I 47
(2 0 6), 57.80°, 1.595 Å, I 35
(4 0 0), 58.60°, 1.575 Å, I 22
(4 2 2), 68.74°, 1.366 Å, I 25
(4 2 6), 86.91°, 1.121 Å, I 22

Atomic structure:
```
data_ZrSiO2
_chemical_formula_sum 'Zr8 Si8 O16'
_cell_length_a 6.301
_cell_length_b 6.301
_cell_length_c 11.099
_cell_angle_alpha 90.00
_cell_angle_beta 90.00
_cell_angle_gamma 90.00
_symmetry_space_group_name_H-M 'I 41/a m d'
_symmetry_Int_Tables_number 141
loop_
_symmetry_equiv_pos_as_xyz
'x,y,z'
'-x,-y,-z'
'-y+1/4,x+3/4,z+1/4'
'y+1/4,-x+3/4,-z+1/4'
'-x+1/2,-y,z+1/2'
'x+1/2,y,-z+1/2'
'y+1/4,-x+1/4,z+3/4'
'-y+1/4,x+1/4,-z+3/4'
'x,-y,-z'
'-x,y,z'
'-y+1/4,-x+1/4,-z+3/4'
'y+1/4,x+1/4,z+3/4'
'-x+1/2,y,-z+1/2'
'x+1/2,-y,z+1/2'
'y+1/4,x+3/4,-z+1/4'
'-y+1/4,-x+3/4,z+1/4'
'x+1/2,y+1/2,z+1/2'
'-x+1/2,-y+1/2,-z+1/2'
'-y+3/4,x+1/4,z+3/4'
'y+3/4,-x+1/4,-z+3/4'
'-x,-y+1/2,z'
'x,y+1/2,-z'
'y+3/4,-x+3/4,z+1/4'
'-y+3/4,x+3/4,-z+1/4'
'x+1/2,-y+1/2,-z+1/2'
'-x+1/2,y+1/2,z+1/2'
'-y+3/4,-x+3/4,-z+1/4'
'y+3/4,x+3/4,z+1/4'
'-x,y+1/2,-z'
'x,-y+1/2,z'
'y+3/4,x+1/4,-z+3/4'
'-y+3/4,-x+1/4,z+3/4'
loop_
_atom_site_label
_atom_site_fract_x
_atom_site_fract_y
_atom_site_fract_z
Zr1 0.000 0.000 0.000
Si1 0.000 0.000 0.500
O1 0.000 0.011 0.800
```

=====

No. 10
Starting from a DFT-relaxed cell (PBE, the Materials Project), the powder X-ray diffraction pattern of SmB4Os4 was computed for copper Kα.

The 10 most intense peaks (10 to 90 degrees two-theta), by angle:
(1 1 0), 16.51°, 5.370 Å, I 32
(1 1 1), 27.73°, 3.218 Å, I 21
(1 2 1), 34.58°, 2.594 Å, I 100
(3 1 0), 37.45°, 2.402 Å, I 61
(2 2 1), 40.40°, 2.233 Å, I 33
(1 3 1), 43.92°, 2.062 Å, I 18
(1 0 2), 46.76°, 1.943 Å, I 29
(3 2 1), 48.82°, 1.866 Å, I 25
(3 0 2), 58.66°, 1.574 Å, I 15
(4 1 2), 69.19°, 1.358 Å, I 18

Atomic structure:
```
data_SmB4Os4
_chemical_formula_sum 'Sm2 B8 Os8'
_cell_length_a 7.594
_cell_length_b 7.594
_cell_length_c 4.019
_cell_angle_alpha 90.00
_cell_angle_beta 90.00
_cell_angle_gamma 90.00
_symmetry_space_group_name_H-M 'P 42/n'
_symmetry_Int_Tables_number 86
loop_
_symmetry_equiv_pos_as_xyz
'x,y,z'
'-x,-y,-z'
'-y,x+1/2,z+1/2'
'y,-x+1/2,-z+1/2'
'-x+1/2,-y+1/2,z'
'x+1/2,y+1/2,-z'
'y+1/2,-x,z+1/2'
'-y+1/2,x,-z+1/2'
loop_
_atom_site_label
_atom_site_fract_x
_atom_site_fract_y
_atom_site_fract_z
Sm1 0.250 0.250 0.250
B1 0.033 0.585 0.138
Os1 0.104 0.857 0.137
```

=====

No. 11
Starting from a DFT-relaxed cell (PBE, the Materials Project), the powder X-ray diffraction pattern of CrCdCu3Se4 was computed for copper Kα.

The 10 most intense peaks (10 to 90 degrees two-theta), by angle:
(1 1 0), 21.49°, 4.135 Å, I 15
(1 1 1), 26.40°, 3.376 Å, I 98
(2 1 1), 37.68°, 2.387 Å, I 8
(2 2 0), 43.78°, 2.068 Å, I 100
(3 1 1), 51.85°, 1.763 Å, I 43
(3 2 1), 59.11°, 1.563 Å, I 5
(4 0 0), 63.65°, 1.462 Å, I 15
(3 3 1), 70.14°, 1.342 Å, I 16
(4 2 2), 80.45°, 1.194 Å, I 30
(3 3 3), 86.47°, 1.125 Å, I 12

Atomic structure:
```
data_CrCdCu3Se4
_chemical_formula_sum 'Cr1 Cd1 Cu3 Se4'
_cell_length_a 5.848
_cell_length_b 5.848
_cell_length_c 5.848
_cell_angle_alpha 90.00
_cell_angle_beta 90.00
_cell_angle_gamma 90.00
_symmetry_space_group_name_H-M 'P -4 3 m'
_symmetry_Int_Tables_number 215
_symmetry_space_group_name_Hall 'P -4 2 3'
loop_
_atom_site_label
_atom_site_fract_x
_atom_site_fract_y
_atom_site_fract_z
Cr1 0.000 0.000 0.000
Cd1 0.500 0.500 0.500
Cu1 0.000 0.000 0.500
Se1 0.237 0.237 0.237
```